Entry 1:
Simulated powder XRD pattern
Compound: Pt2Rh3
Radiation: Cu Kα (λ = 1.5418 Å)
Structure: the PBE geometry in Alexandria

The 12 most intense peaks (2θ from 10° to 90°), most intense first:
2theta  I (rel.)
39.82  100.0
41.58  90.2
49.05  43.5
39.21  33.6
40.22  23.9
74.46  20.0
67.87  16.6
23.56  14.3
81.55  12.5
82.62  11.3
38.98  11.3
64.51  10.6

Structure:
```
Pt2Rh3
1.0
0.0000 6.6305 2.4649
4.5951 0.0000 2.4649
4.5951 6.6305 0.0000
Pt Rh
4 6
direct
0.2739 0.7261 0.3210
0.5710 0.9290 0.5239
0.7261 0.2739 0.6790
0.9290 0.5710 0.9761
0.0961 0.8243 0.0984
0.1516 0.2688 0.1539
0.2688 0.1516 0.4257
0.4292 0.4292 0.5708
0.6792 0.6792 0.8208
0.8243 0.0961 0.9812
```

Entry 2:
Simulated powder XRD pattern
Compound: Ag8GeTe6
Radiation: Cu Kα (λ = 1.5418 Å)
Structure: the PBE geometry in Alexandria

The 12 most intense peaks (2θ from 10° to 90°), most intense first:
2theta  I (rel.)
25.80  100.0
42.64  56.9
36.54  43.9
25.96  36.6
12.82  36.4
40.46  36.2
42.35  28.0
33.65  28.0
24.81  27.2
33.21  25.3
40.08  24.9
39.37  24.8

Structure:
```
Ag8GeTe6
1.0
8.1127 0.0000 0.0000
3.6909 7.3040 0.0000
3.7890 2.3664 6.9001
Ag Ge Te
8 1 6
direct
0.0000 0.0000 0.0000
0.0220 0.3857 0.4778
0.0938 0.2167 0.1738
0.3880 0.8141 0.2713
0.5334 0.9849 0.4687
0.6996 0.9609 0.9090
0.7256 0.2245 0.5100
0.9550 0.8396 0.4151
0.5516 0.4777 0.9866
0.0867 0.9768 0.5665
0.4157 0.4000 0.3631
0.4156 0.8563 0.8795
0.4227 0.3352 0.8630
0.7934 0.7275 0.2609
0.9280 0.4013 0.8616
```

Entry 3:
Simulated powder XRD pattern
Compound: LaTm2
Radiation: Cu Kα (λ = 1.5418 Å)
Structure: the PBE geometry in Alexandria

The 12 most intense peaks (2θ from 10° to 90°), most intense first:
2theta  I (rel.)
30.59  100.0
35.41  34.1
60.59  28.8
51.07  23.8
35.58  16.5
60.82  13.8
63.68  12.3
50.94  12.2
83.24  11.5
83.04  6.0
85.68  5.6
85.78  5.5

Structure:
```
LaTm2
1.0
3.5853 0.0000 0.0000
0.0000 3.5853 0.0000
0.0000 0.0000 15.1401
La Tm
2 4
direct
0.0000 0.0000 0.0000
0.5000 0.5000 0.5000
0.0000 0.0000 0.3294
0.0000 0.0000 0.6706
0.5000 0.5000 0.1706
0.5000 0.5000 0.8294
```

Entry 4:
Simulated powder XRD pattern
Compound: NaAl11O17
Radiation: Cu Kα (λ = 1.5418 Å)
Structure: the PBE geometry in Alexandria

The 12 most intense peaks (2θ from 10° to 90°), most intense first:
2theta  I (rel.)
15.58  100.0
66.10  82.2
35.46  71.9
33.08  67.4
36.93  43.7
65.56  41.4
31.65  39.4
46.43  35.6
21.60  35.0
41.90  34.2
37.58  31.8
44.02  31.1

Structure:
```
NaAl11O17
1.0
5.6541 0.0000 0.0000
-2.8270 4.8966 0.0000
0.0000 0.0000 22.7528
Na Al O
2 22 34
direct
0.0000 0.0000 0.2500
0.0000 0.0000 0.7500
0.0000 0.0000 0.0000
0.0000 0.0000 0.5000
0.1683 0.3366 0.1066
0.1683 0.3366 0.3934
0.1683 0.8317 0.1066
0.1683 0.8317 0.3934
0.3333 0.6667 0.5260
0.3333 0.6667 0.6749
0.3333 0.6667 0.8251
0.3333 0.6667 0.9740
0.3366 0.1683 0.6066
0.3366 0.1683 0.8934
0.6634 0.8317 0.1066
0.6634 0.8317 0.3934
0.6667 0.3333 0.0260
0.6667 0.3333 0.1749
0.6667 0.3333 0.3251
0.6667 0.3333 0.4740
0.8317 0.1683 0.6066
0.8317 0.1683 0.8934
0.8317 0.6634 0.6066
0.8317 0.6634 0.8934
0.0000 0.0000 0.1437
0.0000 0.0000 0.3563
0.0000 0.0000 0.6437
0.0000 0.0000 0.8563
0.0029 0.5014 0.1444
0.0029 0.5014 0.3556
0.1559 0.3119 0.5501
0.1559 0.3119 0.9499
0.1559 0.8441 0.5501
0.1559 0.8441 0.9499
0.3119 0.1559 0.0501
0.3119 0.1559 0.4499
0.3333 0.6667 0.0544
0.3333 0.6667 0.4456
0.3333 0.6667 0.7500
0.4986 0.5014 0.1444
0.4986 0.5014 0.3556
0.4986 0.9971 0.1444
0.4986 0.9971 0.3556
0.5014 0.0029 0.6444
0.5014 0.0029 0.8556
0.5014 0.4986 0.6444
0.5014 0.4986 0.8556
0.6667 0.3333 0.2500
0.6667 0.3333 0.5544
0.6667 0.3333 0.9456
0.6881 0.8441 0.5501
0.6881 0.8441 0.9499
0.8441 0.1559 0.0501
0.8441 0.1559 0.4499
0.8441 0.6881 0.0501
0.8441 0.6881 0.4499
0.9971 0.4986 0.6444
0.9971 0.4986 0.8556
```